(1)
Diffraction record for CaRe2O10. The powder XRD pattern is theoretical, not measured: it uses a DFT-relaxed cell (GGA-PBE, the Materials Project) and λ = 1.5418 Å (Cu Kα).
Intensities are scaled so that the largest is 100.

Most intense lines, 15 to 90 degrees two-theta, sorted by position:
| d_spacing | I/Imax |
| --- | --- |
| 5.049 | 44.8 |
| 4.467 | 47.9 |
| 4.446 | 100.0 |
| 3.806 | 73.4 |
| 3.454 | 51.3 |
| 3.409 | 68.1 |
| 3.263 | 38.8 |
| 3.109 | 60.0 |

Structure:
Lattice parameters (Å, degrees): 19.600 7.166 14.254 90.00 114.42 90.00
Space group Cc (No. 9)
Unique sites:
Ca1 0.000 0.128 0.000 (multiplicity 4)
Ca2 0.283 0.130 0.394 (multiplicity 4)
Re1 0.066 0.109 0.762 (multiplicity 4)
Re2 0.215 0.109 0.629 (multiplicity 4)
Re3 0.315 0.349 0.021 (multiplicity 4)
Re4 0.465 0.147 0.865 (multiplicity 4)
O1 0.009 0.045 0.165 (multiplicity 4)
O2 0.033 0.123 0.860 (multiplicity 4)
O3 0.054 0.361 0.366 (multiplicity 4)
O4 0.063 0.328 0.710 (multiplicity 4)
O5 0.086 0.403 0.059 (multiplicity 4)
O6 0.120 0.039 0.576 (multiplicity 4)
O7 0.159 0.025 0.815 (multiplicity 4)
O8 0.191 0.378 0.303 (multiplicity 4)
O9 0.223 0.330 0.681 (multiplicity 4)
O10 0.226 0.354 0.019 (multiplicity 4)
O11 0.248 0.111 0.531 (multiplicity 4)
O12 0.268 0.049 0.226 (multiplicity 4)
O13 0.315 0.185 0.929 (multiplicity 4)
O14 0.340 0.424 0.488 (multiplicity 4)
O15 0.360 0.362 0.340 (multiplicity 4)
O16 0.378 0.276 0.142 (multiplicity 4)
O17 0.402 0.210 0.742 (multiplicity 4)
O18 0.418 0.140 0.541 (multiplicity 4)
O19 0.441 0.078 0.402 (multiplicity 4)
O20 0.464 0.319 0.952 (multiplicity 4)

(2)
Diffraction record for CaRe2O10. The powder XRD pattern is theoretical, not measured: it uses a DFT-relaxed cell (GGA-PBE, the Materials Project) and λ = 1.5418 Å (Cu Kα).
Intensities are scaled so that the largest is 100.

Most intense lines, 15 to 90 degrees two-theta, sorted by position:
| d_spacing | I/Imax |
| --- | --- |
| 5.084 | 51.1 |
| 4.509 | 49.3 |
| 4.459 | 100.0 |
| 3.837 | 71.1 |
| 3.484 | 53.2 |
| 3.445 | 68.0 |
| 3.400 | 66.0 |
| 2.227 | 49.9 |

Structure:
Lattice parameters (Å, degrees): 19.818 7.232 14.323 90.00 114.74 90.00
Space group C2/c (No. 15)
Unique sites:
Ca1 0.140 0.126 0.447 (multiplicity 8)
Re1 0.074 0.110 0.683 (multiplicity 8)
Re2 0.176 0.357 0.077 (multiplicity 8)
O1 0.019 0.030 0.870 (multiplicity 8)
O2 0.054 0.401 0.387 (multiplicity 8)
O3 0.078 0.327 0.736 (multiplicity 8)
O4 0.088 0.366 0.077 (multiplicity 8)
O5 0.107 0.122 0.586 (multiplicity 8)
O6 0.129 0.044 0.280 (multiplicity 8)
O7 0.176 0.185 0.991 (multiplicity 8)
O8 0.199 0.420 0.541 (multiplicity 8)
O9 0.223 0.355 0.405 (multiplicity 8)
O10 0.238 0.295 0.200 (multiplicity 8)

(3)
Diffraction record for Ca2ScReO6. The powder XRD pattern is theoretical, not measured: it uses a DFT-relaxed cell (GGA-PBE, the Materials Project) and λ = 1.5418 Å (Cu Kα).
Intensities are scaled so that the largest is 100.

Most intense lines, 15 to 90 degrees two-theta, sorted by position:
| d_spacing | I/Imax |
| --- | --- |
| 4.641 | 42.9 |
| 4.615 | 43.3 |
| 4.008 | 76.0 |
| 2.833 | 100.0 |
| 2.823 | 25.1 |
| 2.421 | 24.8 |
| 2.004 | 56.0 |
| 1.632 | 28.9 |

Structure:
Lattice parameters (Å, degrees): 5.695 8.009 5.647 90.00 90.00 90.00
Space group Pnnm (No. 58)
Unique sites:
Ca1 0.037 0.248 0.000 (multiplicity 4)
Sc1 0.000 0.000 0.500 (multiplicity 2)
Re1 0.000 0.500 0.500 (multiplicity 2)
O1 0.013 0.744 0.500 (multiplicity 4)
O2 0.243 0.501 0.255 (multiplicity 8)

(4)
Diffraction record for CaRe3Se4O6. The powder XRD pattern is theoretical, not measured: it uses a DFT-relaxed cell (GGA-PBE, the Materials Project) and λ = 1.5418 Å (Cu Kα).
Intensities are scaled so that the largest is 100.

Most intense lines, 15 to 90 degrees two-theta, sorted by position:
| d_spacing | I/Imax |
| --- | --- |
| 5.787 | 65.2 |
| 5.756 | 100.0 |
| 3.504 | 69.5 |
| 3.297 | 69.7 |
| 2.627 | 72.6 |
| 2.546 | 97.2 |
| 2.261 | 76.1 |
| 2.104 | 78.3 |

Structure:
Lattice parameters (Å, degrees): 7.956 8.018 10.513 90.60 90.27 119.52
Space group P-1 (No. 2)
Unique sites:
Ca1 0.179 0.350 0.409 (multiplicity 2)
Re1 0.275 0.925 0.860 (multiplicity 2)
Re2 0.352 0.777 0.137 (multiplicity 2)
Re3 0.424 0.149 0.138 (multiplicity 2)
Se1 0.101 0.865 0.081 (multiplicity 2)
Se2 0.239 0.604 0.914 (multiplicity 2)
Se3 0.362 0.261 0.918 (multiplicity 2)
Se4 0.499 0.998 0.669 (multiplicity 2)
O1 0.061 0.590 0.481 (multiplicity 2)
O2 0.079 0.835 0.749 (multiplicity 2)
O3 0.090 0.043 0.521 (multiplicity 2)
O4 0.248 0.584 0.246 (multiplicity 2)
O5 0.332 0.254 0.247 (multiplicity 2)
O6 0.477 0.566 0.522 (multiplicity 2)